Calculated powder XRD pattern of Ac2MgMoO6 for Cu Kα X-rays, from a cell relaxed with PBE+U.
Neutral-atom scattering factors, no anomalous dispersion.

Most intense lines, 15 to 90 degrees two-theta, most intense first:
- 2.884 Å, I = 100.0
- 4.110 Å, I = 33.1
- 2.055 Å, I = 27.6
- 2.914 Å, I = 25.4
- 2.364 Å, I = 24.3
- 2.899 Å, I = 23.1

Crystal structure
```
10
Lattice="4.971 -2.914 0.000 4.971 2.914 0.000 -3.365 0.000 4.722" Properties=species:S:1:pos:R:3 pbc="T T T"
Ac 1.677 0.000 1.119
Ac 4.900 0.000 3.603
Mg 4.971 0.000 0.000
Mo -1.683 0.000 2.361
O 3.826 1.448 0.980
O 0.201 0.000 3.149
O 2.751 1.448 3.742
O 3.826 -1.448 0.980
O 6.376 0.000 1.572
O 2.751 -1.448 3.742
```